Entry 1:
Diffraction record for K4Tl3Hg5. The powder diffraction line list is theoretical, not measured: it uses the GGA-PBE geometry in Alexandria and CuKα.

Top 6 peaks for 10° ≤ 2θ ≤ 90°, sorted by position:
2theta	intensity
15.29	100
31.62	62
31.85	54
32.36	61
33.04	58
34.29	35

Structure:
Cell: 6.5914 6.8039 9.9009 Å, 108.82 99.13 90.35°
Fractional coordinates of all 12 atoms:
K 0.1765 0.3033 0.1139
K 0.2256 0.9352 0.3821
K 0.7744 0.0648 0.6179
K 0.8235 0.6967 0.8861
Tl 0.0000 0.5000 0.5000
Tl 0.2959 0.3728 0.7452
Tl 0.7041 0.6272 0.2548
Hg 0.2761 0.9017 0.7571
Hg 0.3604 0.7662 0.0328
Hg 0.5000 0.5000 0.5000
Hg 0.6396 0.2338 0.9672
Hg 0.7239 0.0983 0.2429

---

Entry 2:
Diffraction record for Co2C3N6. The powder diffraction line list is theoretical, not measured: it uses the GGA-PBE geometry in Alexandria and CuKα.

Top 6 peaks for 10° ≤ 2θ ≤ 90°, sorted by position:
2theta	intensity
11.35	100
17.98	37
19.46	35
34.52	28
36.27	57
47.42	17

Structure:
Cell: 8.0659 8.0659 5.0174 Å, 100.34 100.34 21.25°
Fractional coordinates of all 11 atoms:
Co 0.1710 0.1710 0.3540
Co 0.8290 0.8290 0.6460
C 0.0000 0.0000 0.5000
C 0.3241 0.3241 0.1513
C 0.6759 0.6759 0.8487
N 0.0547 0.0547 0.3556
N 0.3002 0.3002 0.3795
N 0.3383 0.3383 0.9232
N 0.6617 0.6617 0.0768
N 0.6998 0.6998 0.6205
N 0.9453 0.9453 0.6444